Diffraction record for Zr4GeSb7. The X-ray diffraction stick pattern is simulated, not measured: it uses a crystal structure in the Materials Project, relaxed with GGA-PBE and a wavelength of 1.5418 Å.

Structural model:
abc: 7.381 3.993 9.683
angles: 90.00 90.45 90.00
Element x y z (fractional)
Zr  0.000  0.000  0.000
Zr  0.019  0.500  0.505
Zr  0.502  0.000  0.824
Zr  0.524  0.500  0.333
Ge  0.628  0.500  0.620
Sb  0.129  0.500  0.212
Sb  0.191  0.500  0.810
Sb  0.339  0.000  0.524
Sb  0.394  0.000  0.119
Sb  0.693  0.500  0.016
Sb  0.828  0.000  0.315
Sb  0.874  0.000  0.704

Most intense lines, 2θ = 10–90°, by intensity:
| 2theta | I_rel | hkl |
| --- | --- | --- |
| 33.05 | 100 | 2 1 0 |
| 37.79 | 62 | 1 1 -3 |
| 37.93 | 60 | 1 1 3 |
| 31.41 | 59 | 1 1 -2 |
| 45.43 | 46 | 0 2 0 |
| 34.41 | 43 | 2 1 1 |
| 30.31 | 40 | 1 0 3 |
| 31.53 | 39 | 1 1 2 |
| 41.02 | 36 | 3 0 -2 |
| 34.31 | 35 | 2 1 -1 |